[1]
Structure and computed powder XRD pattern of Sr7Cd2Rh2 (the GGA-PBE geometry in Alexandria; λ = 1.5418 Å (Cu Kα)).
Peak positions follow from Bragg's law for the DFT cell and can differ from measured ones.

a b c (Å): 7.465 7.465 7.672
angles (deg): 90.00 90.00 107.43
Atoms (fractional coordinates):
Sr 0.000 0.000 0.000
Sr 0.000 0.500 0.249
Sr 0.000 0.500 0.751
Sr 0.500 0.000 0.249
Sr 0.500 0.000 0.751
Sr 0.500 0.500 0.235
Sr 0.500 0.500 0.765
Cd 0.166 0.166 0.500
Cd 0.834 0.834 0.500
Rh 0.292 0.708 0.000
Rh 0.708 0.292 0.000

Peak list (10 most intense, 10 to 90 degrees two-theta, by angle)
| Position (°2θ) | intensity |
| --- | --- |
| 18.7 | 41.0 |
| 23.2 | 46.9 |
| 25.0 | 21.6 |
| 26.4 | 38.1 |
| 29.7 | 61.8 |
| 33.9 | 53.6 |
| 34.4 | 100.0 |
| 39.7 | 25.2 |
| 40.8 | 22.4 |
| 57.0 | 27.7 |

---

[2]
Structure and computed powder XRD pattern of CsBa2Na2Br7 (the GGA-PBE geometry in Alexandria; λ = 1.5418 Å (Cu Kα)).
Peak positions follow from Bragg's law for the DFT cell and can differ from measured ones.

a b c (Å): 13.478 13.478 13.478
angles (deg): 152.67 39.04 152.67
Atoms (fractional coordinates):
Cs 0.000 0.000 0.000
Ba 0.492 0.116 0.375
Ba 0.741 0.116 0.625
Na 0.373 0.623 0.750
Na 0.873 0.623 0.250
Br 0.249 0.619 0.630
Br 0.375 0.125 0.250
Br 0.512 0.635 0.877
Br 0.694 0.194 0.500
Br 0.759 0.635 0.123
Br 0.875 0.125 0.750
Br 0.989 0.619 0.370

Peak list (10 most intense, 10 to 90 degrees two-theta, by angle)
| Position (°2θ) | intensity |
| --- | --- |
| 14.3 | 22.8 |
| 17.4 | 24.9 |
| 22.4 | 13.9 |
| 24.2 | 25.5 |
| 28.0 | 100.0 |
| 31.6 | 12.9 |
| 40.1 | 66.8 |
| 49.6 | 20.8 |
| 65.6 | 15.9 |
| 65.7 | 12.0 |

---

[3]
Structure and computed powder XRD pattern of CuB2H6 (the GGA-PBE geometry in Alexandria; λ = 1.5418 Å (Cu Kα)).
Peak positions follow from Bragg's law for the DFT cell and can differ from measured ones.

a b c (Å): 3.808 4.640 5.888
angles (deg): 97.26 107.01 112.62
Atoms (fractional coordinates):
Cu 0.000 0.000 0.000
B 0.446 0.007 0.839
B 0.554 0.993 0.161
H 0.113 0.840 0.672
H 0.394 0.729 0.195
H 0.447 0.207 0.240
H 0.553 0.793 0.760
H 0.606 0.271 0.805
H 0.887 0.160 0.328

Peak list (10 most intense, 10 to 90 degrees two-theta, by angle)
| Position (°2θ) | intensity |
| --- | --- |
| 16.4 | 100.0 |
| 21.6 | 68.5 |
| 23.3 | 44.0 |
| 26.1 | 14.7 |
| 26.2 | 12.8 |
| 28.6 | 11.1 |
| 30.6 | 19.5 |
| 33.4 | 12.5 |
| 34.3 | 23.0 |
| 38.9 | 14.9 |

---

[4]
Structure and computed powder XRD pattern of BaH3IO6 (the GGA-PBE geometry in Alexandria; λ = 1.5418 Å (Cu Kα)).
Peak positions follow from Bragg's law for the DFT cell and can differ from measured ones.

a b c (Å): 5.077 5.092 5.130
angles (deg): 97.99 100.26 95.67
Atoms (fractional coordinates):
Ba 0.000 0.000 0.000
H 0.068 0.347 0.607
H 0.399 0.638 0.930
H 0.646 0.938 0.376
I 0.509 0.484 0.483
O 0.220 0.239 0.573
O 0.253 0.582 0.222
O 0.422 0.743 0.781
O 0.571 0.201 0.241
O 0.757 0.791 0.434
O 0.794 0.423 0.741

Peak list (10 most intense, 10 to 90 degrees two-theta, by angle)
| Position (°2θ) | intensity |
| --- | --- |
| 22.7 | 100.0 |
| 23.1 | 96.9 |
| 23.6 | 90.4 |
| 26.9 | 63.5 |
| 27.2 | 61.4 |
| 27.8 | 58.4 |
| 35.9 | 28.0 |
| 42.4 | 57.9 |
| 43.0 | 29.2 |
| 44.1 | 25.4 |

---

[5]
Structure and computed powder XRD pattern of Tm4Co2Pd (the GGA-PBE geometry in Alexandria; λ = 1.5418 Å (Cu Kα)).
Peak positions follow from Bragg's law for the DFT cell and can differ from measured ones.

a b c (Å): 7.259 7.259 7.259
angles (deg): 110.28 109.11 109.03
Atoms (fractional coordinates):
Tm 0.005 0.882 0.513
Tm 0.128 0.120 0.115
Tm 0.372 0.487 0.992
Tm 0.495 0.008 0.877
Tm 0.505 0.013 0.385
Tm 0.631 0.618 0.623
Tm 0.869 0.492 0.987
Tm 0.995 0.380 0.508
Co 0.129 0.750 0.879
Co 0.371 0.250 0.621
Co 0.619 0.369 0.250
Co 0.881 0.131 0.750
Pd 0.250 0.622 0.372
Pd 0.750 0.878 0.128

Peak list (10 most intense, 10 to 90 degrees two-theta, by angle)
| Position (°2θ) | intensity |
| --- | --- |
| 30.2 | 29.9 |
| 33.7 | 100.0 |
| 34.1 | 52.6 |
| 40.1 | 36.7 |
| 40.2 | 33.3 |
| 40.5 | 14.9 |
| 53.4 | 13.5 |
| 55.7 | 21.5 |
| 56.0 | 14.3 |
| 56.2 | 16.9 |

---

[6]
Structure and computed powder XRD pattern of PmThSN (the GGA-PBE geometry in Alexandria; λ = 1.5418 Å (Cu Kα)).
Peak positions follow from Bragg's law for the DFT cell and can differ from measured ones.

a b c (Å): 3.735 3.735 6.680
angles (deg): 90.00 90.00 120.00
Atoms (fractional coordinates):
Pm 0.000 0.000 0.000
Th 0.667 0.333 0.420
S 0.333 0.667 0.717
N 0.333 0.667 0.223

Peak list (10 most intense, 10 to 90 degrees two-theta, by angle)
| Position (°2θ) | intensity |
| --- | --- |
| 13.3 | 11.4 |
| 26.7 | 18.0 |
| 27.6 | 14.5 |
| 30.7 | 100.0 |
| 38.8 | 37.0 |
| 48.8 | 23.5 |
| 49.7 | 18.1 |
| 56.5 | 14.8 |
| 58.7 | 16.3 |
| 79.7 | 13.8 |

---

[7]
Structure and computed powder XRD pattern of Na2LaAl9 (the GGA-PBE geometry in Alexandria; λ = 1.5418 Å (Cu Kα)).
Peak positions follow from Bragg's law for the DFT cell and can differ from measured ones.

a b c (Å): 9.476 9.476 9.476
angles (deg): 34.76 34.76 34.76
Atoms (fractional coordinates):
Na 0.144 0.144 0.144
Na 0.856 0.856 0.856
La 0.000 0.000 0.000
Al 0.077 0.585 0.585
Al 0.335 0.335 0.335
Al 0.415 0.415 0.923
Al 0.415 0.923 0.415
Al 0.500 0.500 0.500
Al 0.585 0.077 0.585
Al 0.585 0.585 0.077
Al 0.665 0.665 0.665
Al 0.923 0.415 0.415

Peak list (10 most intense, 10 to 90 degrees two-theta, by angle)
| Position (°2θ) | intensity |
| --- | --- |
| 19.3 | 26.0 |
| 22.5 | 30.4 |
| 24.7 | 23.2 |
| 29.7 | 31.9 |
| 31.6 | 40.0 |
| 32.5 | 33.4 |
| 36.8 | 37.3 |
| 37.3 | 24.4 |
| 37.7 | 100.0 |
| 60.3 | 24.6 |

---

[8]
Structure and computed powder XRD pattern of TeH2Pb2O6 (the GGA-PBE geometry in Alexandria; λ = 1.5418 Å (Cu Kα)).
Peak positions follow from Bragg's law for the DFT cell and can differ from measured ones.

a b c (Å): 6.154 6.154 6.154
angles (deg): 50.67 50.67 50.67
Atoms (fractional coordinates):
Te 0.000 0.000 0.000
H 0.400 0.400 0.400
H 0.600 0.600 0.600
Pb 0.220 0.220 0.220
Pb 0.780 0.780 0.780
O 0.246 0.246 0.732
O 0.246 0.732 0.246
O 0.268 0.754 0.754
O 0.732 0.246 0.246
O 0.754 0.268 0.754
O 0.754 0.754 0.268

Peak list (10 most intense, 10 to 90 degrees two-theta, by angle)
| Position (°2θ) | intensity |
| --- | --- |
| 20.2 | 54.8 |
| 22.4 | 52.3 |
| 29.7 | 84.6 |
| 34.0 | 100.0 |
| 34.2 | 86.1 |
| 41.2 | 29.4 |
| 45.8 | 45.7 |
| 58.3 | 27.5 |
| 61.0 | 50.8 |
| 62.9 | 40.4 |

---

[9]
Structure and computed powder XRD pattern of TcI (the GGA-PBE geometry in Alexandria; λ = 1.5418 Å (Cu Kα)).
Peak positions follow from Bragg's law for the DFT cell and can differ from measured ones.

a b c (Å): 3.833 3.833 8.838
angles (deg): 91.47 91.47 58.74
Atoms (fractional coordinates):
Tc 0.000 0.000 0.000
Tc 0.633 0.633 0.130
I 0.331 0.331 0.339
I 0.668 0.668 0.788

Peak list (10 most intense, 10 to 90 degrees two-theta, by angle)
| Position (°2θ) | intensity |
| --- | --- |
| 10.0 | 100.0 |
| 28.9 | 75.5 |
| 29.2 | 28.1 |
| 33.2 | 35.9 |
| 34.3 | 50.6 |
| 40.9 | 39.8 |
| 41.5 | 39.3 |
| 47.5 | 37.8 |
| 48.4 | 21.2 |
| 59.9 | 14.4 |